(1)
SmDy2HoSe4: calculated powder X-ray diffraction pattern (Cu Kα X-rays), based on DFT lattice parameters and positions (PBE).

Structure:
```
data_SmDy2HoSe4
_chemical_formula_sum 'Sm1 Dy2 Ho1 Se4'
_cell_length_a 7.0880
_cell_length_b 4.0416
_cell_length_c 7.1625
_cell_angle_alpha 90.00
_cell_angle_beta 108.81
_cell_angle_gamma 90.00
_space_group_name_H-M_alt 'P 1 2/m 1'
_space_group_IT_number 10
_space_group_name_Hall '-P 2y'
loop_
_atom_site_label
_atom_site_fract_x
_atom_site_fract_y
_atom_site_fract_z
Sm1 0.0000 0.0000 0.0000
Dy1 0.5000 0.0000 0.5000
Dy2 0.5000 0.5000 0.0000
Ho1 0.0000 0.5000 0.5000
Se1 0.2516 0.0000 0.7456
Se2 0.2554 0.5000 0.2568
```

Most intense lines, 2θ from 10° to 90°, by intensity:
hkl 1 1 1, 30.9 deg, 2.895 Å, rel. 100
hkl 1 1 -3, 44.1 deg, 2.055 Å, rel. 25
hkl 3 1 -1, 44.4 deg, 2.040 Å, rel. 24
hkl 2 0 2, 43.7 deg, 2.074 Å, rel. 13
hkl 2 2 -2, 55.4 deg, 1.657 Å, rel. 13
hkl 2 2 2, 64.4 deg, 1.448 Å, rel. 12
hkl 0 2 0, 44.9 deg, 2.021 Å, rel. 12
hkl 0 2 4, 72.8 deg, 1.299 Å, rel. 11
hkl 4 2 0, 73.3 deg, 1.291 Å, rel. 11
hkl 1 1 -1, 26.9 deg, 3.315 Å, rel. 10

(2)
SmDy3Ho4Se8: calculated powder X-ray diffraction pattern (Cu Kα X-rays), based on DFT lattice parameters and positions (PBE).

Structure:
```
data_SmDy3Ho4Se8
_chemical_formula_sum 'Sm3 Dy9 Ho12 Se24'
_cell_length_a 8.1531
_cell_length_b 8.1531
_cell_length_c 19.9993
_cell_angle_alpha 90.00
_cell_angle_beta 90.00
_cell_angle_gamma 120.00
_space_group_name_H-M_alt 'R -3 m'
_space_group_IT_number 166
_space_group_name_Hall '-R 3 2"'
loop_
_atom_site_label
_atom_site_fract_x
_atom_site_fract_y
_atom_site_fract_z
Sm1 0.0000 0.0000 0.0000
Dy1 0.0000 0.5000 0.0000
Ho1 0.0000 0.0000 0.5000
Ho2 0.0000 0.5000 0.5000
Se1 0.0000 0.0000 0.2493
Se2 0.0041 0.5021 0.2483
```

Most intense lines, 2θ from 10° to 90°, by intensity:
hkl 0 2 4, 31.0 deg, 2.884 Å, rel. 100
hkl 2 2 0, 44.4 deg, 2.039 Å, rel. 74
hkl 2 4 4, 73.4 deg, 1.290 Å, rel. 33
hkl 4 0 4, 55.2 deg, 1.665 Å, rel. 26
hkl 2 0 2, 26.8 deg, 3.330 Å, rel. 21
hkl 4 2 8, 81.8 deg, 1.178 Å, rel. 19
hkl 0 4 8, 64.6 deg, 1.442 Å, rel. 12
hkl 0 2 10, 52.6 deg, 1.739 Å, rel. 11
hkl 6 0 0, 81.9 deg, 1.177 Å, rel. 6
hkl 2 0 14, 71.3 deg, 1.323 Å, rel. 4

(3)
DyHoSnSe: calculated powder X-ray diffraction pattern (Cu Kα X-rays), based on DFT lattice parameters and positions (PBE).

Structure:
```
data_DyHoSnSe
_chemical_formula_sum 'Dy1 Ho1 Sn1 Se1'
_cell_length_a 4.2428
_cell_length_b 4.2428
_cell_length_c 6.0073
_cell_angle_alpha 90.00
_cell_angle_beta 90.00
_cell_angle_gamma 90.00
_space_group_name_H-M_alt 'P 4/m m m'
_space_group_IT_number 123
_space_group_name_Hall '-P 4 2'
loop_
_atom_site_label
_atom_site_fract_x
_atom_site_fract_y
_atom_site_fract_z
Dy1 0.0000 0.0000 0.0000
Ho1 0.5000 0.5000 0.5000
Sn1 0.0000 0.0000 0.5000
Se1 0.5000 0.5000 0.0000
```

Most intense lines, 2θ from 10° to 90°, by intensity:
hkl 1 1 0, 29.8 deg, 3.001 Å, rel. 100
hkl 2 0 0, 42.6 deg, 2.122 Å, rel. 76
hkl 3 1 0, 70.1 deg, 1.342 Å, rel. 35
hkl 2 0 2, 52.8 deg, 1.733 Å, rel. 27
hkl 3 1 2, 78.0 deg, 1.225 Å, rel. 26
hkl 2 2 0, 61.8 deg, 1.501 Å, rel. 13
hkl 1 0 1, 25.7 deg, 3.466 Å, rel. 10
hkl 2 1 1, 50.4 deg, 1.810 Å, rel. 5
hkl 3 0 1, 68.1 deg, 1.377 Å, rel. 2
hkl 0 0 1, 14.7 deg, 6.007 Å, rel. 1